Calculated X-ray diffraction stick pattern of Hf3Zr2Sc8 for λ = 1.5418 Å (Cu Kα), from a crystal structure in Alexandria, relaxed with GGA-PBE.

Top 10 peaks for 2θ from 10° to 90°, low angle first:
2θ = 19.60°, d 4.528, rel. 29, hkl 0 4 0; 2θ = 19.91°, d 4.458, rel. 18, hkl 0 2 1; 2θ = 28.09°, d 3.177, rel. 24, hkl 2 2 0; 2θ = 33.03°, d 2.712, rel. 28, hkl 1 5 1; 2θ = 33.19°, d 2.700, rel. 18, hkl 2 2 1; 2θ = 34.47°, d 2.602, rel. 25, hkl 0 6 1; 2θ = 35.05°, d 2.560, rel. 38, hkl 0 0 2; 2θ = 37.49°, d 2.399, rel. 100, hkl 2 4 1; 2θ = 54.05°, d 1.696, rel. 20, hkl 4 0 0; 2θ = 64.48°, d 1.445, rel. 20, hkl 2 4 3

Structural model:
abc: 6.7842 18.1256 5.1209
angles: 90.00 90.00 90.00
Space group Cmmm (No. 65)
Asymmetric unit:
Hf: 0.0000 0.0000 0.0000
Hf: 0.2248 0.5000 0.5000
Zr: 0.0000 0.2415 0.0000
Sc: 0.0000 0.1358 0.5000
Sc: 0.0000 0.3292 0.5000
Sc: 0.2085 0.3948 0.0000

Calculated X-ray diffraction stick pattern of Hf3Zr3Sc2 for λ = 1.5418 Å (Cu Kα), from a crystal structure in Alexandria, relaxed with GGA-PBE.

Top 10 peaks for 2θ from 10° to 90°, low angle first:
2θ = 11.51°, d 7.689, rel. 86, hkl 0 1 0; 2θ = 33.31°, d 2.690, rel. 38, hkl -1 1 1; 2θ = 35.01°, d 2.563, rel. 34, hkl 0 3 0; 2θ = 35.40°, d 2.535, rel. 28, hkl 0 0 6; 2θ = 35.67°, d 2.517, rel. 37, hkl 0 2 5; 2θ = 35.81°, d 2.507, rel. 100, hkl 1 2 -2; 2θ = 36.14°, d 2.485, rel. 28, hkl 0 3 -1; 2θ = 36.83°, d 2.441, rel. 38, hkl 1 1 4; 2θ = 38.54°, d 2.336, rel. 33, hkl 0 1 -6; 2θ = 39.79°, d 2.265, rel. 41, hkl -1 1 4

Structural model:
abc: 3.1881 7.8934 15.2960
angles: 84.13 89.99 78.36
Space group P-1 (No. 2)
Asymmetric unit:
Hf: 0.1124 0.2761 0.2680
Hf: 0.2589 0.9823 0.5875
Hf: 0.2814 0.9375 0.0768
Zr: 0.0860 0.3290 0.4698
Zr: 0.2227 0.0546 0.7636
Zr: 0.3992 0.6997 0.9295
Sc: 0.0537 0.3920 0.8581
Sc: 0.4398 0.6206 0.3430

Calculated X-ray diffraction stick pattern of Hf7Zr12Sc for λ = 1.5418 Å (Cu Kα), from a crystal structure in Alexandria, relaxed with GGA-PBE.

Top 10 peaks for 2θ from 10° to 90°, low angle first:
2θ = 19.62°, d 4.525, rel. 16, hkl 0 0 3; 2θ = 25.58°, d 3.482, rel. 19, hkl 1 1 3; 2θ = 34.37°, d 2.610, rel. 21, hkl 0 1 5; 2θ = 34.72°, d 2.584, rel. 25, hkl 0 3 3; 2θ = 34.89°, d 2.571, rel. 100, hkl 4 -3 1; 2θ = 36.53°, d 2.459, rel. 44, hkl 2 1 4; 2θ = 36.78°, d 2.443, rel. 58, hkl 3 1 2; 2θ = 38.24°, d 2.354, rel. 15, hkl 2 0 5; 2θ = 61.29°, d 1.512, rel. 24, hkl 2 5 0; 2θ = 65.04°, d 1.434, rel. 13, hkl 5 2 3

Structural model:
abc: 10.9030 10.9030 13.5764
angles: 90.00 90.00 120.00
Space group R-3 (No. 148, hexagonal axes)
Asymmetric unit:
Hf: 0.0000 0.0000 0.0000
Hf: 0.0482 0.1861 0.2988
Zr: 0.0209 0.4374 0.2120
Zr: 0.0547 0.5962 0.5888
Sc: 0.0000 0.0000 0.5000

Calculated X-ray diffraction stick pattern of Hf12ZrSc2 for λ = 1.5418 Å (Cu Kα), from a crystal structure in Alexandria, relaxed with GGA-PBE.

Top 10 peaks for 2θ from 10° to 90°, low angle first:
2θ = 16.23°, d 5.462, rel. 30, hkl 0 0 4; 2θ = 17.31°, d 5.124, rel. 28, hkl 0 1 0; 2θ = 29.61°, d 3.016, rel. 34, hkl 1 0 2; 2θ = 33.62°, d 2.665, rel. 51, hkl 0 1 7; 2θ = 34.50°, d 2.599, rel. 95, hkl 1 1 2; 2θ = 35.03°, d 2.562, rel. 100, hkl 0 2 0; 2θ = 37.31°, d 2.410, rel. 71, hkl 0 1 8; 2θ = 37.42°, d 2.403, rel. 38, hkl 1 1 4; 2θ = 41.89°, d 2.156, rel. 95, hkl 1 1 6; 2θ = 70.35°, d 1.338, rel. 26, hkl 2 2 0

Structural model:
abc: 3.1385 5.1235 21.8466
angles: 90.00 90.00 90.00
Space group Pmmm (No. 47)
Asymmetric unit:
Hf: 0.0000 0.0000 0.0636
Hf: 0.0000 0.0000 0.4234
Hf: 0.5000 0.0000 0.1737
Hf: 0.5000 0.0000 0.3031
Hf: 0.5000 0.5000 0.0808
Hf: 0.5000 0.5000 0.3727
Zr: 0.0000 0.5000 0.5000
Sc: 0.0000 0.5000 0.2320

Calculated X-ray diffraction stick pattern of Hf2Zr5Sc5 for λ = 1.5418 Å (Cu Kα), from a crystal structure in Alexandria, relaxed with GGA-PBE.

Top 10 peaks for 2θ from 10° to 90°, low angle first:
2θ = 18.26°, d 4.858, rel. 18, hkl 0 1 0; 2θ = 20.20°, d 4.395, rel. 34, hkl 1 1 1; 2θ = 33.11°, d 2.706, rel. 88, hkl 1 2 -1; 2θ = 34.90°, d 2.571, rel. 46, hkl 0 0 4; 2θ = 36.48°, d 2.463, rel. 100, hkl 2 1 2; 2θ = 36.56°, d 2.458, rel. 20, hkl 2 1 -2; 2θ = 41.57°, d 2.172, rel. 31, hkl 1 2 3; 2θ = 41.67°, d 2.167, rel. 15, hkl 2 1 -3; 2θ = 56.86°, d 1.619, rel. 37, hkl 3 3 0; 2θ = 68.43°, d 1.371, rel. 26, hkl 3 3 4

Structural model:
abc: 5.6072 5.6094 10.2842
angles: 89.89 89.81 60.03
Space group P-1 (No. 2)
Asymmetric unit:
Hf: 0.1667 0.0000 0.2516
Zr: 0.1578 0.6730 0.5007
Zr: 0.1643 0.3326 0.7486
Zr: 0.5000 0.0000 0.0000
Sc: 0.1614 0.6709 0.9996
Sc: 0.4994 0.3337 0.2509
Sc: 0.5000 0.0000 0.5000

Calculated X-ray diffraction stick pattern of Hf3Zr6Sc for λ = 1.5418 Å (Cu Kα), from a crystal structure in Alexandria, relaxed with GGA-PBE.

Top 10 peaks for 2θ from 10° to 90°, low angle first:
2θ = 21.50°, d 4.134, rel. 16, hkl 6 0 -2; 2θ = 32.32°, d 2.770, rel. 16, hkl 5 1 0; 2θ = 33.79°, d 2.652, rel. 28, hkl 1 1 -2; 2θ = 34.92°, d 2.569, rel. 37, hkl 5 1 -2; 2θ = 35.54°, d 2.526, rel. 100, hkl 8 0 2; 2θ = 35.81°, d 2.508, rel. 70, hkl 4 0 -4; 2θ = 37.09°, d 2.424, rel. 27, hkl 3 1 2; 2θ = 64.20°, d 1.451, rel. 16, hkl 4 0 6; 2θ = 70.57°, d 1.335, rel. 26, hkl 8 2 2; 2θ = 70.74°, d 1.332, rel. 16, hkl 4 2 -4

Structural model:
abc: 30.9105 3.1439 10.0241
angles: 90.00 108.90 90.00
Space group C2/m (No. 12)
Asymmetric unit:
Hf: 0.0234 0.0000 0.3964
Hf: 0.1712 0.0000 0.8067
Hf: 0.1742 0.0000 0.2905
Zr: 0.0290 0.0000 0.9051
Zr: 0.0723 0.5000 0.6863
Zr: 0.1243 0.5000 0.9977
Zr: 0.1250 0.0000 0.5016
Zr: 0.2212 0.5000 0.5897
Zr: 0.2253 0.5000 0.0982
Sc: 0.0728 0.5000 0.2099

Calculated X-ray diffraction stick pattern of HfZr4Sc4 for λ = 1.5418 Å (Cu Kα), from a crystal structure in Alexandria, relaxed with GGA-PBE.

Top 10 peaks for 2θ from 10° to 90°, low angle first:
2θ = 10.45°, d 8.467, rel. 26, hkl 0 0 1; 2θ = 11.62°, d 7.618, rel. 41, hkl 1 0 0; 2θ = 13.82°, d 6.409, rel. 17, hkl 1 0 -1; 2θ = 33.05°, d 2.710, rel. 49, hkl 1 1 1; 2θ = 35.19°, d 2.551, rel. 100, hkl 2 0 -3; 2θ = 35.35°, d 2.539, rel. 45, hkl 3 0 0; 2θ = 36.30°, d 2.475, rel. 38, hkl 1 0 3; 2θ = 36.77°, d 2.445, rel. 49, hkl 2 1 -1; 2θ = 47.04°, d 1.932, rel. 21, hkl 3 1 -2; 2θ = 54.27°, d 1.690, rel. 18, hkl 3 1 2

Structural model:
abc: 7.8102 3.1922 8.6807
angles: 90.00 102.73 90.00
Space group P2/m (No. 10)
Asymmetric unit:
Hf: 0.0000 0.0000 0.0000
Zr: 0.0150 0.5000 0.6860
Zr: 0.3331 0.5000 0.2052
Sc: 0.3125 0.0000 0.5315
Sc: 0.3378 0.0000 0.8826

Calculated X-ray diffraction stick pattern of HfZr7Sc12 for λ = 1.5418 Å (Cu Kα), from a crystal structure in Alexandria, relaxed with GGA-PBE.

Top 10 peaks for 2θ from 10° to 90°, low angle first:
2θ = 13.06°, d 6.776, rel. 92, hkl 0 0 2; 2θ = 17.11°, d 5.183, rel. 22, hkl 1 1 1; 2θ = 29.27°, d 3.052, rel. 26, hkl 2 2 0; 2θ = 29.55°, d 3.023, rel. 26, hkl 2 2 -2; 2θ = 34.61°, d 2.591, rel. 100, hkl 2 2 2; 2θ = 35.34°, d 2.540, rel. 95, hkl 2 2 -4; 2θ = 39.79°, d 2.265, rel. 34, hkl 4 0 -2; 2θ = 39.91°, d 2.259, rel. 34, hkl 0 0 6; 2θ = 42.09°, d 2.147, rel. 27, hkl 0 4 0; 2θ = 59.35°, d 1.557, rel. 37, hkl 0 4 6

Structural model:
abc: 9.0658 8.5874 14.1626
angles: 90.00 106.87 90.00
Space group C2/m (No. 12)
Asymmetric unit:
Hf: 0.0000 0.0000 0.0000
Zr: 0.0000 0.0000 0.5000
Zr: 0.0000 0.5000 0.0000
Zr: 0.0000 0.5000 0.5000
Zr: 0.2500 0.2500 0.0000
Zr: 0.2500 0.2500 0.5000
Sc: 0.0868 0.2678 0.6657
Sc: 0.0875 0.2303 0.1656
Sc: 0.1795 0.5000 0.3381
Sc: 0.1798 0.0000 0.8386

Calculated X-ray diffraction stick pattern of HfZr4Sc6 for λ = 1.5418 Å (Cu Kα), from a crystal structure in Alexandria, relaxed with GGA-PBE.

Top 10 peaks for 2θ from 10° to 90°, low angle first:
2θ = 22.85°, d 3.892, rel. 26, hkl 1 1 -3; 2θ = 23.49°, d 3.788, rel. 25, hkl 1 1 3; 2θ = 25.78°, d 3.456, rel. 24, hkl 0 2 4; 2θ = 33.42°, d 2.681, rel. 42, hkl 1 1 -7; 2θ = 34.28°, d 2.616, rel. 61, hkl 0 2 7; 2θ = 34.46°, d 2.602, rel. 37, hkl 1 1 7; 2θ = 34.72°, d 2.584, rel. 66, hkl 2 0 0; 2θ = 35.71°, d 2.514, rel. 100, hkl 1 3 0; 2θ = 50.37°, d 1.812, rel. 23, hkl 2 2 7; 2θ = 62.89°, d 1.478, rel. 19, hkl 3 3 0

Structural model:
abc: 5.1705 8.6329 23.0309
angles: 90.00 92.08 90.00
Space group C2/c (No. 15)
Asymmetric unit:
Hf: 0.0000 0.1911 0.2500
Zr: 0.0070 0.1504 0.9567
Zr: 0.0440 0.4627 0.8816
Sc: 0.0000 0.4723 0.7500
Sc: 0.0000 0.5000 0.0000
Sc: 0.0162 0.1372 0.8196
Sc: 0.0311 0.1951 0.3935

Calculated X-ray diffraction stick pattern of Hf2ZrSc6 for λ = 1.5418 Å (Cu Kα), from a crystal structure in Alexandria, relaxed with GGA-PBE.

Top 10 peaks for 2θ from 10° to 90°, low angle first:
2θ = 11.52°, d 7.682, rel. 100, hkl 2 0 -1; 2θ = 23.16°, d 3.841, rel. 20, hkl 4 0 -2; 2θ = 32.61°, d 2.746, rel. 43, hkl 1 1 1; 2θ = 33.56°, d 2.670, rel. 34, hkl 1 1 -2; 2θ = 34.68°, d 2.587, rel. 40, hkl 2 0 -4; 2θ = 35.04°, d 2.561, rel. 38, hkl 6 0 -3; 2θ = 35.31°, d 2.542, rel. 39, hkl 4 0 1; 2θ = 35.80°, d 2.509, rel. 40, hkl 3 1 0; 2θ = 38.38°, d 2.345, rel. 39, hkl 3 1 -3; 2θ = 46.03°, d 1.972, rel. 19, hkl 5 1 -4

Structural model:
abc: 15.5921 3.1184 10.7796
angles: 90.00 125.66 90.00
Space group C2/m (No. 12)
Asymmetric unit:
Hf: 0.1739 0.0000 0.3272
Zr: 0.0000 0.5000 0.0000
Sc: 0.0448 0.5000 0.7537
Sc: 0.1148 0.0000 0.5558
Sc: 0.2247 0.5000 0.1144

Calculated X-ray diffraction stick pattern of Hf2Zr7Sc2 for λ = 1.5418 Å (Cu Kα), from a crystal structure in Alexandria, relaxed with GGA-PBE.

Top 10 peaks for 2θ from 10° to 90°, low angle first:
2θ = 11.85°, d 7.468, rel. 43, hkl 0 0 2; 2θ = 32.13°, d 2.785, rel. 41, hkl 1 1 -5; 2θ = 33.94°, d 2.641, rel. 41, hkl 2 2 -3; 2θ = 34.32°, d 2.613, rel. 21, hkl 2 2 2; 2θ = 35.43°, d 2.534, rel. 100, hkl 1 3 2; 2θ = 35.79°, d 2.509, rel. 43, hkl 2 0 4; 2θ = 35.90°, d 2.501, rel. 53, hkl 3 1 -1; 2θ = 36.08°, d 2.489, rel. 18, hkl 0 0 6; 2θ = 36.56°, d 2.458, rel. 31, hkl 1 3 -3; 2θ = 37.02°, d 2.428, rel. 29, hkl 2 2 -4

Structural model:
abc: 7.8284 8.8055 15.1010
angles: 90.00 98.49 90.00
Space group C2/c (No. 15)
Asymmetric unit:
Hf: 0.0478 0.1918 0.4751
Zr: 0.0000 0.3463 0.2500
Zr: 0.1593 0.3632 0.6562
Zr: 0.1662 0.4728 0.9667
Zr: 0.2060 0.1980 0.8543
Sc: 0.1206 0.0083 0.6779